# 1
Theoretical powder X-ray diffraction pattern
Compound: Cs3Cd2Br8
Radiation: a wavelength of 1.5418 Å
Structure: a structure optimized by DFT (PBE)

Largest 10 diffraction maxima, in order of rising 2θ, 10 to 80 degrees two-theta:
| hkl | two_theta | d [Å] | I (rel.) |
| --- | --- | --- | --- |
| 0 1 5 | 19.27 | 4.607 | 45 |
| 1 1 0 | 22.86 | 3.890 | 100 |
| 0 0 9 | 25.39 | 3.508 | 32 |
| 2 0 2 | 27.07 | 3.294 | 58 |
| 0 2 4 | 28.82 | 3.098 | 31 |
| 2 0 5 | 30.07 | 2.972 | 74 |
| 1 0 10 | 31.29 | 2.859 | 62 |
| 2 0 11 | 41.33 | 2.185 | 29 |
| 2 2 0 | 46.71 | 1.945 | 57 |
| 1 1 15 | 49.23 | 1.851 | 37 |

Structure:
```
data_Cs3Cd2Br8
_chemical_formula_sum 'Cs9 Cd6 Br24'
_cell_length_a 7.7793
_cell_length_b 7.7793
_cell_length_c 31.5693
_cell_angle_alpha 90.00
_cell_angle_beta 90.00
_cell_angle_gamma 120.00
_symmetry_space_group_name_H-M 'R -3 m'
_symmetry_Int_Tables_number 166
_symmetry_space_group_name_Hall '-R 3 2"'
loop_
_atom_site_label
_atom_site_type_symbol
_atom_site_fract_x
_atom_site_fract_y
_atom_site_fract_z
Cs1 Cs 0.0000 0.0000 0.0000
Cs2 Cs 0.0000 0.0000 0.2067
Cd1 Cd 0.0000 0.0000 0.4022
Br1 Br 0.0000 0.0000 0.3205
Br2 Br 0.0227 0.5114 0.7698
```

***

# 2
Theoretical powder X-ray diffraction pattern
Compound: Cs3Cd2CuBr9
Radiation: a wavelength of 1.5418 Å
Structure: a structure optimized by DFT (PBE)

Largest 10 diffraction maxima, in order of rising 2θ, 10 to 80 degrees two-theta:
| hkl | two_theta | d [Å] | I (rel.) |
| --- | --- | --- | --- |
| 1 1 0 | 22.85 | 3.892 | 48 |
| 0 0 3 | 28.08 | 3.178 | 67 |
| 2 0 2 | 32.54 | 2.752 | 100 |
| 3 0 0 | 40.16 | 2.245 | 16 |
| 0 2 4 | 46.62 | 1.948 | 35 |
| 2 2 0 | 46.75 | 1.943 | 35 |
| 2 2 3 | 55.40 | 1.658 | 21 |
| 0 4 2 | 58.11 | 1.587 | 18 |
| 2 2 6 | 77.48 | 1.232 | 15 |
| 4 2 2 | 77.67 | 1.229 | 15 |

Structure:
```
data_Cs3Cd2CuBr9
_chemical_formula_sum 'Cs3 Cd2 Cu1 Br9'
_cell_length_a 7.7732
_cell_length_b 7.7732
_cell_length_c 9.5575
_cell_angle_alpha 90.00
_cell_angle_beta 90.00
_cell_angle_gamma 120.00
_symmetry_space_group_name_H-M 'P -3 m 1'
_symmetry_Int_Tables_number 164
_symmetry_space_group_name_Hall '-P 3 2"'
loop_
_atom_site_label
_atom_site_type_symbol
_atom_site_fract_x
_atom_site_fract_y
_atom_site_fract_z
Cs1 Cs 0.0000 0.0000 0.0000
Cs2 Cs 0.3333 0.6667 0.6663
Cd1 Cd 0.3333 0.6667 0.1769
Cu1 Cu 0.0000 0.0000 0.5000
Br1 Br 0.0000 0.5000 0.0000
Br2 Br 0.1607 0.3214 0.3417
```

***

# 3
Theoretical powder X-ray diffraction pattern
Compound: CsCdHg2Br8
Radiation: a wavelength of 1.5418 Å
Structure: a structure optimized by DFT (PBE)

Largest 10 diffraction maxima, in order of rising 2θ, 10 to 80 degrees two-theta:
| hkl | two_theta | d [Å] | I (rel.) |
| --- | --- | --- | --- |
| 0 1 1 | 17.08 | 5.191 | 100 |
| 0 1 2 | 22.81 | 3.899 | 68 |
| 1 1 0 | 25.61 | 3.478 | 70 |
| 0 0 3 | 26.13 | 3.410 | 42 |
| 1 1 1 | 27.08 | 3.293 | 72 |
| 2 0 1 | 30.95 | 2.889 | 57 |
| 2 -1 2 | 31.10 | 2.876 | 37 |
| 2 0 2 | 34.56 | 2.595 | 36 |
| 1 1 4 | 43.95 | 2.060 | 94 |
| 3 0 0 | 45.16 | 2.008 | 69 |

Structure:
```
data_CsCdHg2Br8
_chemical_formula_sum 'Cs1 Cd1 Hg2 Br8'
_cell_length_a 6.9554
_cell_length_b 6.9554
_cell_length_c 10.2294
_cell_angle_alpha 90.00
_cell_angle_beta 90.00
_cell_angle_gamma 120.00
_symmetry_space_group_name_H-M 'P -3'
_symmetry_Int_Tables_number 147
loop_
_symmetry_equiv_pos_as_xyz
'x,y,z'
'-x,-y,-z'
'-y,x-y,z'
'y,-x+y,-z'
'-x+y,-x,z'
'x-y,x,-z'
loop_
_atom_site_label
_atom_site_type_symbol
_atom_site_fract_x
_atom_site_fract_y
_atom_site_fract_z
Cs1 Cs 0.0000 0.0000 0.0000
Cd1 Cd 0.0000 0.0000 0.5000
Hg1 Hg 0.3333 0.6667 0.7354
Br1 Br 0.0397 0.7019 0.3333
Br2 Br 0.3333 0.6667 0.9956
```

***

# 4
Theoretical powder X-ray diffraction pattern
Compound: Cs2CdIrBr6
Radiation: a wavelength of 1.5418 Å
Structure: a structure optimized by DFT (PBE)

Largest 10 diffraction maxima, in order of rising 2θ, 10 to 80 degrees two-theta:
| hkl | two_theta | d [Å] | I (rel.) |
| --- | --- | --- | --- |
| 1 0 1 | 14.02 | 6.316 | 18 |
| 1 1 0 | 16.16 | 5.484 | 21 |
| 2 0 0 | 23.00 | 3.868 | 100 |
| 2 0 2 | 28.26 | 3.158 | 48 |
| 2 2 0 | 32.66 | 2.742 | 91 |
| 0 0 4 | 32.93 | 2.720 | 45 |
| 3 1 2 | 40.34 | 2.236 | 29 |
| 4 0 0 | 46.86 | 1.939 | 32 |
| 2 2 4 | 47.06 | 1.931 | 63 |
| 4 0 4 | 58.45 | 1.579 | 32 |

Structure:
```
data_Cs2CdIrBr6
_chemical_formula_sum 'Cs4 Cd2 Ir2 Br12'
_cell_length_a 7.756
_cell_length_b 7.756
_cell_length_c 10.881
_cell_angle_alpha 90.00
_cell_angle_beta 90.00
_cell_angle_gamma 90.00
_symmetry_space_group_name_H-M 'I 4/m m m'
_symmetry_Int_Tables_number 139
_symmetry_space_group_name_Hall '-I 4 2'
loop_
_atom_site_label
_atom_site_type_symbol
_atom_site_fract_x
_atom_site_fract_y
_atom_site_fract_z
Cs1 Cs 0.000 0.500 0.250
Cd1 Cd 0.000 0.000 0.000
Ir1 Ir 0.000 0.000 0.500
Br1 Br 0.000 0.000 0.264
Br2 Br 0.234 0.234 0.500
```

***

# 5
Theoretical powder X-ray diffraction pattern
Compound: Cs2Li2CdBr6
Radiation: a wavelength of 1.5418 Å
Structure: a structure optimized by DFT (PBE)

Largest 10 diffraction maxima, in order of rising 2θ, 10 to 80 degrees two-theta:
| hkl | two_theta | d [Å] | I (rel.) |
| --- | --- | --- | --- |
| 1 1 0 | 13.30 | 6.655 | 57 |
| 3 1 -1 | 22.60 | 3.934 | 32 |
| 0 0 2 | 24.26 | 3.669 | 36 |
| 1 1 -2 | 24.86 | 3.582 | 62 |
| 2 2 0 | 26.79 | 3.328 | 95 |
| 4 0 -2 | 28.59 | 3.122 | 36 |
| 4 0 0 | 28.78 | 3.102 | 51 |
| 2 2 -2 | 31.87 | 2.808 | 100 |
| 0 4 0 | 46.08 | 1.970 | 39 |
| 6 2 -2 | 46.22 | 1.964 | 39 |

Structure:
```
data_Cs2Li2CdBr6
_chemical_formula_sum 'Cs4 Li4 Cd2 Br12'
_cell_length_a 13.745
_cell_length_b 7.885
_cell_length_c 8.129
_cell_angle_alpha 90.00
_cell_angle_beta 115.47
_cell_angle_gamma 90.00
_symmetry_space_group_name_H-M 'C 1 2/m 1'
_symmetry_Int_Tables_number 12
loop_
_symmetry_equiv_pos_as_xyz
'x,y,z'
'-x,-y,-z'
'-x,y,-z'
'x,-y,z'
'x+1/2,y+1/2,z'
'-x+1/2,-y+1/2,-z'
'-x+1/2,y+1/2,-z'
'x+1/2,-y+1/2,z'
loop_
_atom_site_label
_atom_site_type_symbol
_atom_site_fract_x
_atom_site_fract_y
_atom_site_fract_z
Cs1 Cs 0.212 0.000 0.177
Li1 Li 0.079 0.500 0.280
Cd1 Cd 0.000 0.000 0.500
Br1 Br 0.028 0.243 0.769
Br2 Br 0.232 0.000 0.648
```

***

# 6
Theoretical powder X-ray diffraction pattern
Compound: Cs2MnCdBr6
Radiation: a wavelength of 1.5418 Å
Structure: a structure optimized by DFT (PBE)

Largest 10 diffraction maxima, in order of rising 2θ, 10 to 80 degrees two-theta:
| hkl | two_theta | d [Å] | I (rel.) |
| --- | --- | --- | --- |
| 1 0 7 | 20.55 | 4.323 | 17 |
| 1 1 0 | 22.68 | 3.921 | 31 |
| 0 0 12 | 27.27 | 3.270 | 31 |
| 2 0 5 | 28.65 | 3.116 | 67 |
| 0 2 7 | 30.79 | 2.904 | 100 |
| 0 2 10 | 34.95 | 2.567 | 34 |
| 2 2 0 | 46.31 | 1.960 | 52 |
| 2 0 17 | 47.64 | 1.909 | 33 |
| 2 2 12 | 54.58 | 1.681 | 25 |
| 2 2 24 | 75.74 | 1.256 | 27 |

Structure:
```
data_Cs2MnCdBr6
_chemical_formula_sum 'Cs12 Mn6 Cd6 Br36'
_cell_length_a 7.8414
_cell_length_b 7.8414
_cell_length_c 39.2385
_cell_angle_alpha 90.00
_cell_angle_beta 90.00
_cell_angle_gamma 120.00
_symmetry_space_group_name_H-M 'R -3 m'
_symmetry_Int_Tables_number 166
_symmetry_space_group_name_Hall '-R 3 2"'
loop_
_atom_site_label
_atom_site_type_symbol
_atom_site_fract_x
_atom_site_fract_y
_atom_site_fract_z
Cs1 Cs 0.0000 0.0000 0.1239
Cs2 Cs 0.0000 0.0000 0.2922
Mn1 Mn 0.0000 0.0000 0.0000
Mn2 Mn 0.0000 0.0000 0.5000
Cd1 Cd 0.0000 0.0000 0.4135
Br1 Br 0.0096 0.5048 0.7064
Br2 Br 0.0129 0.5064 0.1253
```

***

Question: Number 4 is which compound?
Answer: Cs2CdIrBr6